# Tb3Si2Ni6
Simulated powder diffraction line list, a wavelength of 1.5418 Å. Input: DFT lattice parameters and positions (GGA-PBE).
Neutral-atom scattering factors, no anomalous dispersion.

Structural model:
```
data_Tb3Si2Ni6
_chemical_formula_sum 'Tb6 Si4 Ni12'
_cell_length_a 7.599
_cell_length_b 7.599
_cell_length_c 7.599
_cell_angle_alpha 109.47
_cell_angle_beta 109.47
_cell_angle_gamma 109.47
_symmetry_space_group_name_H-M 'P 1'
_symmetry_Int_Tables_number 1
_symmetry_space_group_name_Hall 'P 1'
loop_
_atom_site_label
_atom_site_type_symbol
_atom_site_fract_x
_atom_site_fract_y
_atom_site_fract_z
Tb1 Tb 0.000 0.286 0.286
Tb2 Tb 0.000 0.714 0.714
Tb3 Tb 0.286 0.000 0.286
Tb4 Tb 0.286 0.286 0.000
Tb5 Tb 0.714 0.000 0.714
Tb6 Tb 0.714 0.714 0.000
Si1 Si 0.000 0.000 0.500
Si2 Si 0.000 0.500 0.000
Si3 Si 0.500 0.000 0.000
Si4 Si 0.500 0.500 0.500
Ni1 Ni 0.000 0.331 0.669
Ni2 Ni 0.000 0.669 0.331
Ni3 Ni 0.331 0.000 0.669
Ni4 Ni 0.331 0.331 0.662
Ni5 Ni 0.331 0.662 0.331
Ni6 Ni 0.331 0.669 0.000
Ni7 Ni 0.338 0.669 0.669
Ni8 Ni 0.662 0.331 0.331
Ni9 Ni 0.669 0.000 0.331
Ni10 Ni 0.669 0.331 0.000
Ni11 Ni 0.669 0.338 0.669
Ni12 Ni 0.669 0.669 0.338
```

Top 12 peaks for 10° ≤ 2θ ≤ 80°, sorted by position:
2θ/deg	I (rel.)
24.86	20
28.78	16
32.26	40
35.44	29
38.39	32
41.15	24
43.77	100
57.53	14
61.64	13
63.63	11
65.59	21
71.30	18

***

# SmNbN2O
Simulated powder diffraction line list, a wavelength of 1.5418 Å. Input: DFT lattice parameters and positions (GGA-PBE).
Neutral-atom scattering factors, no anomalous dispersion.

Structural model:
```
data_SmNbN2O
_chemical_formula_sum 'Sm2 Nb2 N4 O2'
_cell_length_a 3.725
_cell_length_b 6.222
_cell_length_c 5.817
_cell_angle_alpha 90.00
_cell_angle_beta 90.00
_cell_angle_gamma 90.00
_symmetry_space_group_name_H-M 'P 1'
_symmetry_Int_Tables_number 1
_symmetry_space_group_name_Hall 'P 1'
loop_
_atom_site_label
_atom_site_type_symbol
_atom_site_fract_x
_atom_site_fract_y
_atom_site_fract_z
Sm1 Sm 0.000 0.158 0.000
Sm2 Sm 0.000 0.842 0.500
Nb1 Nb 0.500 0.321 0.538
Nb2 Nb 0.500 0.679 0.038
N1 N 0.000 0.217 0.594
N2 N 0.000 0.783 0.094
N3 N 0.500 0.406 0.890
N4 N 0.500 0.594 0.390
O1 O 0.500 0.090 0.279
O2 O 0.500 0.910 0.779
```

Top 12 peaks for 10° ≤ 2θ ≤ 80°, sorted by position:
2θ/deg	I (rel.)
27.91	29
28.70	13
30.74	39
31.95	100
32.64	48
42.00	23
48.90	16
50.36	23
55.43	22
58.88	12
60.04	17
60.17	25

***

# Cu7Ag3
Simulated powder diffraction line list, a wavelength of 1.5418 Å. Input: DFT lattice parameters and positions (GGA-PBE).
Neutral-atom scattering factors, no anomalous dispersion.

Structural model:
```
data_Cu7Ag3
_chemical_formula_sum 'Cu7 Ag3'
_cell_length_a 4.669
_cell_length_b 4.669
_cell_length_c 8.493
_cell_angle_alpha 90.66
_cell_angle_beta 90.66
_cell_angle_gamma 47.85
_symmetry_space_group_name_H-M 'P 1'
_symmetry_Int_Tables_number 1
_symmetry_space_group_name_Hall 'P 1'
loop_
_atom_site_label
_atom_site_type_symbol
_atom_site_fract_x
_atom_site_fract_y
_atom_site_fract_z
Cu1 Cu 0.000 0.000 0.000
Cu2 Cu 0.100 0.100 0.721
Cu3 Cu 0.200 0.200 0.423
Cu4 Cu 0.409 0.409 0.814
Cu5 Cu 0.501 0.501 0.519
Cu6 Cu 0.695 0.695 0.907
Cu7 Cu 0.905 0.905 0.324
Ag1 Ag 0.302 0.302 0.106
Ag2 Ag 0.601 0.601 0.223
Ag3 Ag 0.802 0.802 0.617
```

Top 12 peaks for 10° ≤ 2θ ≤ 80°, sorted by position:
2θ/deg	I (rel.)
20.92	1
27.78	3
29.87	2
33.31	1
40.97	1
41.14	100
47.44	16
48.05	16
48.11	15
69.80	14
70.01	5
70.35	9

***

# Ho4NiB13
Simulated powder diffraction line list, a wavelength of 1.5418 Å. Input: DFT lattice parameters and positions (GGA-PBE).
Neutral-atom scattering factors, no anomalous dispersion.

Structural model:
```
data_Ho4NiB13
_chemical_formula_sum 'Ho8 Ni2 B26'
_cell_length_a 7.294
_cell_length_b 7.294
_cell_length_c 6.871
_cell_angle_alpha 90.00
_cell_angle_beta 90.00
_cell_angle_gamma 90.00
_symmetry_space_group_name_H-M 'P 1'
_symmetry_Int_Tables_number 1
_symmetry_space_group_name_Hall 'P 1'
loop_
_atom_site_label
_atom_site_type_symbol
_atom_site_fract_x
_atom_site_fract_y
_atom_site_fract_z
Ho1 Ho 0.180 0.315 0.000
Ho2 Ho 0.185 0.320 0.500
Ho3 Ho 0.315 0.820 0.000
Ho4 Ho 0.320 0.815 0.500
Ho5 Ho 0.680 0.185 0.500
Ho6 Ho 0.685 0.180 0.000
Ho7 Ho 0.815 0.680 0.500
Ho8 Ho 0.820 0.685 0.000
Ni1 Ni 0.000 0.000 0.500
Ni2 Ni 0.500 0.500 0.000
B1 B 0.000 0.000 0.000
B2 B 0.040 0.830 0.243
B3 B 0.040 0.830 0.757
B4 B 0.092 0.592 0.250
B5 B 0.092 0.592 0.750
B6 B 0.170 0.040 0.243
B7 B 0.170 0.040 0.757
B8 B 0.330 0.540 0.257
B9 B 0.330 0.540 0.743
B10 B 0.408 0.092 0.250
B11 B 0.408 0.092 0.750
B12 B 0.460 0.330 0.257
B13 B 0.460 0.330 0.743
B14 B 0.500 0.500 0.500
B15 B 0.540 0.670 0.257
B16 B 0.540 0.670 0.743
B17 B 0.592 0.908 0.250
B18 B 0.592 0.908 0.750
B19 B 0.670 0.460 0.257
B20 B 0.670 0.460 0.743
B21 B 0.830 0.960 0.243
B22 B 0.830 0.960 0.757
B23 B 0.908 0.408 0.250
B24 B 0.908 0.408 0.750
B25 B 0.960 0.170 0.243
B26 B 0.960 0.170 0.757
```

Top 12 peaks for 10° ≤ 2θ ≤ 80°, sorted by position:
2θ/deg	I (rel.)
24.41	38
25.93	59
27.34	96
35.91	38
38.04	100
43.90	22
47.48	28
51.67	37
53.31	28
58.70	40
60.96	21
77.44	22

***

# Pd13Pb9
Simulated powder diffraction line list, a wavelength of 1.5418 Å. Input: DFT lattice parameters and positions (GGA-PBE).
Neutral-atom scattering factors, no anomalous dispersion.

Structural model:
```
data_Pd13Pb9
_chemical_formula_sum 'Pd26 Pb18'
_cell_length_a 9.172
_cell_length_b 9.172
_cell_length_c 14.109
_cell_angle_alpha 119.06
_cell_angle_beta 119.06
_cell_angle_gamma 60.22
_symmetry_space_group_name_H-M 'P 1'
_symmetry_Int_Tables_number 1
_symmetry_space_group_name_Hall 'P 1'
loop_
_atom_site_label
_atom_site_type_symbol
_atom_site_fract_x
_atom_site_fract_y
_atom_site_fract_z
Pd1 Pd 0.000 0.236 0.501
Pd2 Pd 0.000 0.764 0.499
Pd3 Pd 0.105 0.843 0.360
Pd4 Pd 0.123 0.378 0.750
Pd5 Pd 0.125 0.875 0.750
Pd6 Pd 0.157 0.403 0.130
Pd7 Pd 0.157 0.895 0.140
Pd8 Pd 0.236 0.000 0.001
Pd9 Pd 0.244 0.520 0.005
Pd10 Pd 0.367 0.598 0.874
Pd11 Pd 0.378 0.123 0.250
Pd12 Pd 0.402 0.633 0.626
Pd13 Pd 0.403 0.157 0.630
Pd14 Pd 0.480 0.756 0.495
Pd15 Pd 0.520 0.244 0.505
Pd16 Pd 0.597 0.843 0.370
Pd17 Pd 0.598 0.367 0.374
Pd18 Pd 0.622 0.877 0.750
Pd19 Pd 0.633 0.402 0.126
Pd20 Pd 0.756 0.480 0.995
Pd21 Pd 0.764 0.000 0.999
Pd22 Pd 0.843 0.105 0.860
Pd23 Pd 0.843 0.597 0.870
Pd24 Pd 0.875 0.125 0.250
Pd25 Pd 0.877 0.622 0.250
Pd26 Pd 0.895 0.157 0.640
Pb1 Pb 0.026 0.772 0.882
Pb2 Pb 0.081 0.253 0.886
Pb3 Pb 0.171 0.508 0.624
Pb4 Pb 0.228 0.974 0.618
Pb5 Pb 0.249 0.492 0.382
Pb6 Pb 0.253 0.081 0.386
Pb7 Pb 0.377 0.623 0.250
Pb8 Pb 0.492 0.249 0.882
Pb9 Pb 0.492 0.829 0.876
Pb10 Pb 0.508 0.171 0.124
Pb11 Pb 0.508 0.751 0.118
Pb12 Pb 0.623 0.377 0.750
Pb13 Pb 0.747 0.919 0.614
Pb14 Pb 0.751 0.508 0.618
Pb15 Pb 0.772 0.026 0.382
Pb16 Pb 0.829 0.492 0.376
Pb17 Pb 0.919 0.747 0.114
Pb18 Pb 0.974 0.228 0.118
```

Top 12 peaks for 10° ≤ 2θ ≤ 80°, sorted by position:
2θ/deg	I (rel.)
27.14	30
30.63	12
30.73	8
38.26	100
39.16	30
39.29	58
55.92	15
56.07	7
63.78	9
70.36	8
70.53	13
77.54	15

***

# DyHoCo2C2
Simulated powder diffraction line list, a wavelength of 1.5418 Å. Input: DFT lattice parameters and positions (GGA-PBE).
Neutral-atom scattering factors, no anomalous dispersion.

Structural model:
```
data_DyHoCo2C2
_chemical_formula_sum 'Dy1 Ho1 Co2 C2'
_cell_length_a 3.614
_cell_length_b 3.614
_cell_length_c 6.865
_cell_angle_alpha 90.00
_cell_angle_beta 90.00
_cell_angle_gamma 90.00
_symmetry_space_group_name_H-M 'P 1'
_symmetry_Int_Tables_number 1
_symmetry_space_group_name_Hall 'P 1'
loop_
_atom_site_label
_atom_site_type_symbol
_atom_site_fract_x
_atom_site_fract_y
_atom_site_fract_z
Dy1 Dy 0.000 0.000 0.000
Ho1 Ho 0.000 0.000 0.500
Co1 Co 0.500 0.500 0.251
Co2 Co 0.500 0.500 0.749
C1 C 0.000 0.500 0.251
C2 C 0.500 0.000 0.749
```

Top 12 peaks for 10° ≤ 2θ ≤ 80°, sorted by position:
2θ/deg	I (rel.)
24.63	26
25.96	9
35.11	49
36.09	100
44.18	14
50.50	20
53.38	9
56.97	6
63.63	37
65.51	16
74.21	6
76.55	12

***

# SrCu2SnS4
Simulated powder diffraction line list, a wavelength of 1.5418 Å. Input: DFT lattice parameters and positions (GGA-PBE).
Neutral-atom scattering factors, no anomalous dispersion.

Structural model:
```
data_SrCu2SnS4
_chemical_formula_sum 'Sr3 Cu6 Sn3 S12'
_cell_length_a 6.330
_cell_length_b 6.330
_cell_length_c 15.610
_cell_angle_alpha 90.00
_cell_angle_beta 90.00
_cell_angle_gamma 120.00
_symmetry_space_group_name_H-M 'P 1'
_symmetry_Int_Tables_number 1
_symmetry_space_group_name_Hall 'P 1'
loop_
_atom_site_label
_atom_site_type_symbol
_atom_site_fract_x
_atom_site_fract_y
_atom_site_fract_z
Sr1 Sr 0.001 0.559 0.000
Sr2 Sr 0.441 0.441 0.333
Sr3 Sr 0.559 0.999 0.667
Cu1 Cu 0.075 0.641 0.246
Cu2 Cu 0.359 0.434 0.579
Cu3 Cu 0.434 0.360 0.088
Cu4 Cu 0.566 0.925 0.912
Cu5 Cu 0.640 0.074 0.422
Cu6 Cu 0.926 0.566 0.755
Sn1 Sn 0.000 0.705 0.501
Sn2 Sn 0.295 0.294 0.834
Sn3 Sn 0.706 0.000 0.168
S1 S 0.042 0.486 0.622
S2 S 0.119 0.354 0.164
S3 S 0.235 0.881 0.831
S4 S 0.354 0.118 0.505
S5 S 0.444 0.958 0.289
S6 S 0.486 0.042 0.047
S7 S 0.514 0.556 0.955
S8 S 0.556 0.514 0.713
S9 S 0.646 0.765 0.497
S10 S 0.764 0.646 0.172
S11 S 0.882 0.236 0.838
S12 S 0.958 0.444 0.380
```

Top 12 peaks for 10° ≤ 2θ ≤ 80°, sorted by position:
2θ/deg	I (rel.)
16.17	16
23.57	25
28.07	100
28.20	86
28.78	16
33.02	19
37.07	34
40.21	42
49.59	32
49.84	33
50.27	22
53.06	31